Entry 1:
This entry pairs a crystal structure of Y7S5N with its theoretical X-ray powder pattern. Radiation: Cu Kα. Structure: a cell relaxed with GGA-PBE.
Lines closer than 0.1° are merged.

Principal peaks in the range 5 to 70 degrees two-theta, most intense first:
Position (°2θ), d [Å], intensity
29.6, 3.021, 1000
32.6, 2.749, 979
33.7, 2.663, 879
33.0, 2.713, 530
29.0, 3.078, 522
46.7, 1.944, 507
45.6, 1.990, 415
48.7, 1.869, 378
31.9, 2.806, 341
27.2, 3.274, 335

Cell and atoms:
```
26
Lattice="3.738 0.000 0.000 0.000 23.909 0.000 -1.860 0.000 6.472" Properties=species:S:1:pos:R:3 pbc="T T T"
Y -0.010 0.000 0.589
Y 0.000 6.744 1.438
Y 0.002 16.905 2.123
Y 0.016 1.427 3.450
Y 0.012 21.852 4.326
Y 0.003 8.339 5.078
Y 0.007 15.063 5.684
Y 1.871 3.108 0.788
Y 1.874 20.294 1.394
Y 1.866 9.897 2.145
Y 1.861 13.382 3.021
Y 1.876 4.950 4.349
Y 1.878 18.699 5.034
Y 1.888 11.955 5.882
S -0.005 9.290 0.323
S -0.003 14.290 1.086
S 0.005 4.095 2.547
S 0.007 19.403 3.195
S 0.008 5.796 6.153
S 1.869 17.750 0.318
S 1.871 7.448 3.277
S 1.873 16.050 3.924
S 1.880 2.335 5.386
S 1.882 21.245 6.149
N 0.010 13.049 4.685
N 1.867 1.094 1.787
```



Entry 2:
This entry pairs a crystal structure of Sm3Al5Zn6 with its theoretical X-ray powder pattern. Radiation: Cu Kα. Structure: a cell relaxed with GGA-PBE.
Lines closer than 0.1° are merged.

Principal peaks in the range 5 to 70 degrees two-theta, most intense first:
Position (°2θ), d [Å], intensity
34.9, 2.569, 1000
34.5, 2.602, 312
34.7, 2.583, 310
41.9, 2.156, 297
22.5, 3.946, 246
22.9, 3.878, 212
42.8, 2.112, 172
36.4, 2.471, 161
29.6, 3.017, 161
55.5, 1.655, 160

Cell and atoms:
```
28
Lattice="4.311 0.000 0.000 0.000 12.675 0.000 0.000 0.000 9.791" Properties=species:S:1:pos:R:3 pbc="T T T"
Sm 1.078 0.751 2.438
Sm 1.078 5.586 2.438
Sm 1.078 9.506 2.426
Sm 3.233 3.169 7.364
Sm 3.233 7.088 7.353
Sm 3.233 11.924 7.353
Al 1.078 1.134 8.665
Al 1.078 5.203 8.665
Al 1.078 7.692 5.109
Al 1.078 9.506 7.332
Al 1.078 11.319 5.109
Al 3.233 1.355 4.682
Al 3.233 3.169 2.459
Al 3.233 4.982 4.682
Al 3.233 7.471 1.126
Al 3.233 11.540 1.126
Zn 1.078 1.161 6.101
Zn 1.078 3.169 0.451
Zn 1.078 3.169 4.491
Zn 1.078 5.176 6.101
Zn 1.078 7.755 9.519
Zn 1.078 11.256 9.519
Zn 3.233 1.418 0.272
Zn 3.233 4.919 0.272
Zn 3.233 7.498 3.690
Zn 3.233 9.506 5.300
Zn 3.233 9.506 9.340
Zn 3.233 11.513 3.690
```



Entry 3:
This entry pairs a crystal structure of Hf4Hg2C with its theoretical X-ray powder pattern. Radiation: Cu Kα. Structure: a cell relaxed with GGA-PBE.
Lines closer than 0.1° are merged.

Principal peaks in the range 5 to 70 degrees two-theta, most intense first:
Position (°2θ), d [Å], intensity
36.6, 2.456, 1000
38.4, 2.343, 829
33.7, 2.662, 650
34.7, 2.586, 561
35.7, 2.514, 451
38.5, 2.336, 344
69.1, 1.360, 314
31.5, 2.839, 305
26.9, 3.315, 293
55.4, 1.659, 247

Cell and atoms:
```
14
Lattice="7.746 0.000 0.000 0.000 10.974 0.000 0.000 0.000 3.318" Properties=species:S:1:pos:R:3 pbc="T T T"
Hf 1.013 1.986 0.000
Hf 1.366 10.281 1.659
Hf 2.507 4.793 1.659
Hf 2.860 7.473 0.000
Hf 4.886 3.501 0.000
Hf 5.239 6.181 1.659
Hf 6.381 0.694 1.659
Hf 6.733 8.988 0.000
Hg 0.422 7.002 1.659
Hg 3.451 1.514 1.659
Hg 4.295 9.460 1.659
Hg 7.324 3.973 1.659
C 0.000 0.000 0.000
C 3.873 5.487 0.000
```



Entry 4:
This entry pairs a crystal structure of La2Al6TcIr with its theoretical X-ray powder pattern. Radiation: Cu Kα. Structure: a cell relaxed with GGA-PBE.
Lines closer than 0.1° are merged.

Principal peaks in the range 5 to 70 degrees two-theta, most intense first:
Position (°2θ), d [Å], intensity
26.5, 3.367, 1000
46.7, 1.944, 431
37.8, 2.381, 398
54.5, 1.684, 274
61.6, 1.506, 189
68.2, 1.375, 93
16.1, 5.499, 58
31.1, 2.872, 39
32.6, 2.749, 33
18.6, 4.762, 24

Cell and atoms:
```
10
Lattice="0.000 4.762 4.762 4.762 0.000 4.762 4.762 4.762 0.000" Properties=species:S:1:pos:R:3 pbc="T T T"
La 2.381 2.381 2.381
La 7.143 7.143 7.143
Al 4.762 4.762 2.374
Al 4.762 2.374 4.762
Al 7.150 4.762 4.762
Al 2.374 4.762 4.762
Al 4.762 7.150 4.762
Al 4.762 4.762 7.150
Tc 0.000 0.000 0.000
Ir 4.762 4.762 4.762
```